No. 1
Structure and calculated powder diffraction line list of Rb2In2Br7 (a structure optimized by DFT (GGA-PBE); Cu Ka).

Crystal structure
Unit cell a=11.363 b=13.798 c=7.004 alpha=90.00 beta=101.79 gamma=90.00
Space group C2/m (No. 12)
Unique sites:
Rb (0.000, 0.206, 0.000) (multiplicity 4)
In (0.225, 0.500, 0.416) (multiplicity 4)
Br (0.000, 0.500, 0.500) (multiplicity 2)
Br (0.105, 0.000, 0.270) (multiplicity 4)
Br (0.248, 0.343, 0.214) (multiplicity 8)

Main lines, low angle first (5° ≤ 2θ ≤ 70°):
hkl 0 2 0, 2θ = 12.8°, rel. 22
hkl 1 1 1, 2θ = 17.7°, rel. 53
hkl 0 2 1, 2θ = 18.2°, rel. 100
hkl 2 0 -1, 2θ = 18.4°, rel. 35
hkl 1 3 1, 2θ = 25.5°, rel. 21
hkl 3 1 -1, 2θ = 25.7°, rel. 44
hkl 2 2 -2, 2θ = 30.6°, rel. 28
hkl 4 0 0, 2θ = 32.2°, rel. 21
hkl 1 3 2, 2θ = 34.9°, rel. 38
hkl 4 4 -2, 2θ = 45.9°, rel. 36



No. 2
Structure and calculated powder diffraction line list of Zn5PbAu3 (a structure optimized by DFT (GGA-PBE); Cu Ka).

Crystal structure
Unit cell a=3.803 b=13.981 c=13.055 alpha=90.00 beta=90.00 gamma=90.00
Space group Cmcm (No. 63)
Unique sites:
Zn (0.000, 0.000, 0.000) (multiplicity 4)
Zn (0.000, 0.196, 0.053) (multiplicity 8)
Zn (0.000, 0.437, 0.644) (multiplicity 8)
Pb (0.000, 0.159, 0.750) (multiplicity 4)
Au (0.000, 0.154, 0.250) (multiplicity 4)
Au (0.000, 0.384, 0.069) (multiplicity 8)

Main lines, low angle first (5° ≤ 2θ ≤ 70°):
hkl 0 2 3, 2θ = 24.1°, rel. 27
hkl 0 4 0, 2θ = 25.5°, rel. 55
hkl 1 1 2, 2θ = 27.9°, rel. 41
hkl 1 1 3, 2θ = 31.9°, rel. 50
hkl 1 3 2, 2θ = 33.4°, rel. 100
hkl 1 1 4, 2θ = 36.9°, rel. 60
hkl 1 5 0, 2θ = 40.0°, rel. 54
hkl 1 1 5, 2θ = 42.5°, rel. 47
hkl 2 0 0, 2θ = 47.8°, rel. 43
hkl 0 4 6, 2θ = 49.3°, rel. 27



No. 3
Structure and calculated powder diffraction line list of NbH4Pd4 (a structure optimized by DFT (GGA-PBE); Cu Ka).

Crystal structure
Unit cell a=10.024 b=3.084 c=7.179 alpha=90.00 beta=122.54 gamma=90.00
Space group C2/m (No. 12)
Unique sites:
Nb (0.000, 0.000, 0.000) (multiplicity 2)
H (0.005, 0.000, 0.298) (multiplicity 4)
H (0.124, 0.500, 0.190) (multiplicity 4)
Pd (0.105, 0.500, 0.423) (multiplicity 4)
Pd (0.203, 0.000, 0.816) (multiplicity 4)

Main lines, low angle first (5° ≤ 2θ ≤ 70°):
hkl 4 0 -1, 2θ = 36.8°, rel. 100
hkl 2 0 -3, 2θ = 37.7°, rel. 29
hkl 1 1 -2, 2θ = 38.9°, rel. 2
hkl 3 1 -2, 2θ = 41.8°, rel. 45
hkl 0 0 3, 2θ = 44.9°, rel. 1
hkl 2 0 2, 2θ = 45.3°, rel. 17
hkl 0 2 0, 2θ = 60.0°, rel. 8
hkl 6 0 -4, 2θ = 61.2°, rel. 7
hkl 5 1 0, 2θ = 62.7°, rel. 14
hkl 1 1 -4, 2θ = 63.9°, rel. 11



No. 4
Structure and calculated powder diffraction line list of Ba2Zn5Ag5 (a structure optimized by DFT (GGA-PBE); Cu Ka).

Crystal structure
Unit cell a=4.512 b=5.666 c=10.393 alpha=90.00 beta=90.00 gamma=90.00
Space group Pmmm (No. 47)
Unique sites:
Ba (0.000, 0.000, 0.000) (multiplicity 1)
Ba (0.000, 0.500, 0.500) (multiplicity 1)
Zn (0.500, 0.000, 0.500) (multiplicity 1)
Zn (0.500, 0.251, 0.251) (multiplicity 4)
Ag (0.000, 0.000, 0.327) (multiplicity 2)
Ag (0.000, 0.500, 0.181) (multiplicity 2)
Ag (0.500, 0.500, 0.000) (multiplicity 1)

Main lines, low angle first (5° ≤ 2θ ≤ 70°):
hkl 1 1 1, 2θ = 26.7°, rel. 18
hkl 0 1 3, 2θ = 30.2°, rel. 28
hkl 0 2 0, 2θ = 31.6°, rel. 17
hkl 0 0 4, 2θ = 34.5°, rel. 14
hkl 1 1 3, 2θ = 36.3°, rel. 100
hkl 1 2 0, 2θ = 37.5°, rel. 39
hkl 2 0 0, 2θ = 40.0°, rel. 39
hkl 1 2 2, 2θ = 41.5°, rel. 20
hkl 1 3 3, 2θ = 59.4°, rel. 23
hkl 0 2 6, 2θ = 62.9°, rel. 17



No. 5
Structure and calculated powder diffraction line list of Hf3NiIr2 (a structure optimized by DFT (GGA-PBE); Cu Ka).

Crystal structure
Unit cell a=10.731 b=4.352 c=9.225 alpha=90.00 beta=90.00 gamma=90.00
Space group Pnma (No. 62)
Unique sites:
Hf (0.051, 0.250, 0.118) (multiplicity 4)
Hf (0.109, 0.750, 0.574) (multiplicity 4)
Hf (0.230, 0.250, 0.801) (multiplicity 4)
Ni (0.133, 0.250, 0.388) (multiplicity 4)
Ir (0.003, 0.750, 0.301) (multiplicity 4)
Ir (0.175, 0.750, 0.024) (multiplicity 4)

Main lines, low angle first (5° ≤ 2θ ≤ 70°):
hkl 3 0 2, 2θ = 31.7°, rel. 43
hkl 2 1 2, 2θ = 32.8°, rel. 53
hkl 0 1 3, 2θ = 35.8°, rel. 78
hkl 1 1 3, 2θ = 36.8°, rel. 49
hkl 3 1 2, 2θ = 38.0°, rel. 98
hkl 4 0 2, 2θ = 38.8°, rel. 48
hkl 1 0 4, 2θ = 40.0°, rel. 31
hkl 4 1 1, 2θ = 40.7°, rel. 70
hkl 0 2 0, 2θ = 41.5°, rel. 100
hkl 1 1 4, 2θ = 45.3°, rel. 35



No. 6
Structure and calculated powder diffraction line list of NdErPa (a structure optimized by DFT (GGA-PBE); Cu Ka).

Crystal structure
Unit cell a=3.4424 b=3.4424 c=8.6489 alpha=90.00 beta=90.00 gamma=120.00
Space group P3m1 (No. 156)
Unique sites:
Nd (0.0000, 0.0000, 0.0000) (multiplicity 1)
Er (0.3333, 0.6667, 0.6373) (multiplicity 1)
Pa (0.6667, 0.3333, 0.3246) (multiplicity 1)

Main lines, low angle first (5° ≤ 2θ ≤ 70°):
hkl 0 0 1, 2θ = 10.2°, rel. 15
hkl 0 0 3, 2θ = 31.0°, rel. 34
hkl 1 0 1, 2θ = 31.7°, rel. 100
hkl 0 1 2, 2θ = 36.6°, rel. 71
hkl 1 0 4, 2θ = 52.3°, rel. 23
hkl 1 1 0, 2θ = 53.2°, rel. 24
hkl 0 1 5, 2θ = 62.0°, rel. 16
hkl 1 1 3, 2θ = 62.9°, rel. 27
hkl 0 2 1, 2θ = 63.3°, rel. 14
hkl 2 0 2, 2θ = 66.3°, rel. 13



No. 7
Structure and calculated powder diffraction line list of Mg6AgPt (a structure optimized by DFT (GGA-PBE); Cu Ka).

Crystal structure
Unit cell a=4.7220 b=4.7220 c=23.3166 alpha=90.00 beta=90.00 gamma=120.00
Space group R-3m (No. 166, hexagonal axes)
Unique sites:
Mg (0.0000, 0.0000, 0.1222) (multiplicity 6)
Mg (0.0000, 0.0000, 0.2514) (multiplicity 6)
Mg (0.0000, 0.0000, 0.3719) (multiplicity 6)
Ag (0.0000, 0.0000, 0.5000) (multiplicity 3)
Pt (0.0000, 0.0000, 0.0000) (multiplicity 3)

Main lines, low angle first (5° ≤ 2θ ≤ 70°):
hkl 0 0 3, 2θ = 11.4°, rel. 17
hkl 0 0 6, 2θ = 22.9°, rel. 34
hkl 0 1 2, 2θ = 23.0°, rel. 100
hkl 1 0 4, 2θ = 26.6°, rel. 71
hkl 0 1 8, 2θ = 37.9°, rel. 92
hkl 1 1 0, 2θ = 38.1°, rel. 91
hkl 1 0 10, 2θ = 44.7°, rel. 17
hkl 1 1 6, 2θ = 45.0°, rel. 52
hkl 2 0 8, 2θ = 54.8°, rel. 31
hkl 1 2 8, 2θ = 68.7°, rel. 31



No. 8
Structure and calculated powder diffraction line list of KZrSc (a structure optimized by DFT (GGA-PBE); Cu Ka).

Crystal structure
Unit cell a=3.382 b=5.253 c=12.899 alpha=92.97 beta=96.18 gamma=90.06
Space group P-1 (No. 2)
Unique sites:
K (0.147, 0.235, 0.355) (multiplicity 2)
Zr (0.466, 0.805, 0.916) (multiplicity 2)
Sc (0.044, 0.688, 0.107) (multiplicity 2)

Main lines, low angle first (5° ≤ 2θ ≤ 70°):
hkl 0 0 1, 2θ = 6.9°, rel. 100
hkl 0 0 2, 2θ = 13.8°, rel. 6
hkl 0 1 -1, 2θ = 17.9°, rel. 6
hkl 0 0 4, 2θ = 27.9°, rel. 8
hkl 1 -1 1, 2θ = 32.7°, rel. 6
hkl 1 1 -2, 2θ = 33.1°, rel. 7
hkl 0 2 0, 2θ = 34.2°, rel. 6
hkl 1 -1 2, 2θ = 35.3°, rel. 11
hkl 1 1 -3, 2θ = 36.0°, rel. 5
hkl 1 1 2, 2θ = 36.3°, rel. 6